Calculated powder diffraction line list of Pu3Ge3Ir for a wavelength of 1.5418 Å, from a crystal structure in Alexandria, relaxed with PBE.
Neutral-atom scattering factors, no anomalous dispersion.

Top 10 peaks for 2θ = 10–80°, low angle first:
2theta, d (Å), intensity
22.17, 4.009, 31
24.53, 3.629, 25
31.75, 2.819, 59
32.73, 2.736, 30
33.59, 2.668, 42
33.78, 2.654, 100
34.42, 2.606, 48
38.55, 2.335, 78
41.45, 2.178, 59
54.94, 1.671, 27

Structure:
```
Pu3Ge3Ir
1.0
5.276 -2.178 0.000
5.276 2.178 0.000
-3.207 0.000 13.039
Pu Ge Ir
6 6 2
direct
0.029 0.029 0.384
0.090 0.090 0.907
0.249 0.249 0.223
0.751 0.751 0.777
0.910 0.910 0.093
0.971 0.971 0.616
0.350 0.350 0.461
0.379 0.379 0.937
0.456 0.456 0.765
0.544 0.544 0.235
0.621 0.621 0.063
0.650 0.650 0.539
0.247 0.247 0.622
0.753 0.753 0.378
```


Calculated powder diffraction line list of Pu3GeIr for a wavelength of 1.5418 Å, from a crystal structure in Alexandria, relaxed with PBE.
Neutral-atom scattering factors, no anomalous dispersion.

Top 10 peaks for 2θ = 10–80°, low angle first:
2theta, d (Å), intensity
12.12, 7.300, 54
32.68, 2.740, 80
32.90, 2.722, 60
33.65, 2.664, 100
35.46, 2.532, 29
36.95, 2.433, 24
39.58, 2.277, 61
41.53, 2.175, 54
50.22, 1.817, 23
53.97, 1.699, 31

Structure:
```
Pu3GeIr
1.0
6.794 -2.175 0.000
6.794 2.175 0.000
-1.344 0.000 7.300
Pu Ge Ir
6 2 2
direct
0.000 0.000 0.000
0.188 0.188 0.388
0.332 0.332 0.239
0.516 0.516 0.624
0.739 0.739 0.064
0.780 0.780 0.565
0.164 0.164 0.775
0.354 0.354 0.852
0.569 0.569 0.258
0.951 0.951 0.365
```


Calculated powder diffraction line list of PuGe7Ir3 for a wavelength of 1.5418 Å, from a crystal structure in Alexandria, relaxed with PBE.
Neutral-atom scattering factors, no anomalous dispersion.

Top 10 peaks for 2θ = 10–80°, low angle first:
2theta, d (Å), intensity
25.77, 3.457, 100
34.19, 2.623, 63
34.68, 2.586, 39
36.76, 2.445, 44
38.60, 2.333, 60
39.19, 2.299, 73
45.17, 2.007, 77
47.50, 1.914, 56
63.22, 1.471, 27
67.43, 1.389, 42

Structure:
```
PuGe7Ir3
1.0
3.981 2.299 6.973
-3.981 2.299 6.973
0.000 -4.597 6.973
Pu Ge Ir
2 14 6
direct
0.000 0.000 0.000
0.500 0.500 0.500
0.075 0.850 0.667
0.150 0.333 0.925
0.167 0.350 0.575
0.250 0.250 0.250
0.333 0.925 0.150
0.350 0.575 0.167
0.425 0.833 0.650
0.575 0.167 0.350
0.650 0.425 0.833
0.667 0.075 0.850
0.750 0.750 0.750
0.833 0.650 0.425
0.850 0.667 0.075
0.925 0.150 0.333
0.067 0.750 0.433
0.250 0.567 0.933
0.433 0.067 0.750
0.567 0.933 0.250
0.750 0.433 0.067
0.933 0.250 0.567
```


Please write out number 3 again, unchanged.
Calculated powder diffraction line list of PuGe7Ir3 for a wavelength of 1.5418 Å, from a crystal structure in Alexandria, relaxed with PBE.
Neutral-atom scattering factors, no anomalous dispersion.

Top 10 peaks for 2θ = 10–80°, low angle first:
2theta, d (Å), intensity
25.77, 3.457, 100
34.19, 2.623, 63
34.68, 2.586, 39
36.76, 2.445, 44
38.60, 2.333, 60
39.19, 2.299, 73
45.17, 2.007, 77
47.50, 1.914, 56
63.22, 1.471, 27
67.43, 1.389, 42

Structure:
```
PuGe7Ir3
1.0
3.981 2.299 6.973
-3.981 2.299 6.973
0.000 -4.597 6.973
Pu Ge Ir
2 14 6
direct
0.000 0.000 0.000
0.500 0.500 0.500
0.075 0.850 0.667
0.150 0.333 0.925
0.167 0.350 0.575
0.250 0.250 0.250
0.333 0.925 0.150
0.350 0.575 0.167
0.425 0.833 0.650
0.575 0.167 0.350
0.650 0.425 0.833
0.667 0.075 0.850
0.750 0.750 0.750
0.833 0.650 0.425
0.850 0.667 0.075
0.925 0.150 0.333
0.067 0.750 0.433
0.250 0.567 0.933
0.433 0.067 0.750
0.567 0.933 0.250
0.750 0.433 0.067
0.933 0.250 0.567
```